# 1
Diffraction record for Ho2Ga4IrPd. The powder XRD pattern is calculated, not measured: it uses a crystal structure in OQMD, relaxed with PBE and Cu Kα X-rays.
Kinematic intensities with the Lorentz-polarization factor, no thermal factor.

Most intense lines, 2θ from 10° to 80°, low angle first:
22.28 deg, intensity 16, (0 1 1)
26.48 deg, intensity 25, (2 0 0)
34.87 deg, intensity 87, (2 1 1)
36.26 deg, intensity 100, (1 1 3)
37.98 deg, intensity 40, (1 0 4)
41.61 deg, intensity 41, (0 2 0)
43.31 deg, intensity 27, (2 1 3)
57.60 deg, intensity 24, (1 2 4)
68.37 deg, intensity 15, (0 1 7)
79.81 deg, intensity 14, (5 1 3)

Structure:
abc: 6.7321 4.3409 10.1234
angles: 90.00 90.00 90.00
Atoms (fractional coordinates):
Ho 0.0000 0.0000 0.0000
Ho 0.0000 0.5000 0.5000
Ho 0.5000 0.0000 0.1655
Ho 0.5000 0.5000 0.6655
Ga 0.1959 0.0000 0.7141
Ga 0.1959 0.5000 0.2141
Ga 0.3050 0.0000 0.4506
Ga 0.3050 0.5000 0.9506
Ga 0.6950 0.0000 0.4506
Ga 0.6950 0.5000 0.9506
Ga 0.8041 0.0000 0.7141
Ga 0.8041 0.5000 0.2141
Ir 0.5000 0.0000 0.8760
Ir 0.5000 0.5000 0.3760
Pd 0.0000 0.0000 0.2890
Pd 0.0000 0.5000 0.7890

---

# 2
Diffraction record for BaGd3Au4. The powder XRD pattern is calculated, not measured: it uses a crystal structure in OQMD, relaxed with PBE and Cu Kα X-rays.
Kinematic intensities with the Lorentz-polarization factor, no thermal factor.

Most intense lines, 2θ from 10° to 80°, low angle first:
18.79 deg, intensity 15, (1 0 -1)
30.26 deg, intensity 61, (0 1 2)
32.23 deg, intensity 26, (2 0 -1)
33.21 deg, intensity 14, (2 0 1)
33.48 deg, intensity 42, (1 1 -2)
34.43 deg, intensity 63, (1 1 2)
37.37 deg, intensity 100, (0 2 0)
38.24 deg, intensity 45, (2 1 1)
38.60 deg, intensity 14, (1 0 -3)
50.15 deg, intensity 15, (2 2 -1)

Structure:
abc: 5.8868 4.8136 7.4893
angles: 90.00 92.46 90.00
Atoms (fractional coordinates):
Ba 0.0000 0.0000 0.0000
Gd 0.2948 0.5000 0.3807
Gd 0.5032 0.5000 0.8625
Gd 0.7868 0.0000 0.5064
Au 0.3151 0.0000 0.6357
Au 0.4999 0.0000 0.1581
Au 0.7825 0.5000 0.2557
Au 0.9911 0.5000 0.6971

---

# 3
Diffraction record for HoErS4. The powder XRD pattern is calculated, not measured: it uses a crystal structure in OQMD, relaxed with PBE and Cu Kα X-rays.
Kinematic intensities with the Lorentz-polarization factor, no thermal factor.

Most intense lines, 2θ from 10° to 80°, low angle first:
20.36 deg, intensity 30, (2 0 0)
24.90 deg, intensity 73, (0 0 2)
25.71 deg, intensity 100, (1 1 -1)
34.89 deg, intensity 31, (1 1 2)
37.29 deg, intensity 41, (3 1 0)
41.90 deg, intensity 25, (0 2 0)
43.53 deg, intensity 23, (3 1 -2)
43.72 deg, intensity 31, (1 1 -3)
47.12 deg, intensity 23, (3 1 2)
49.36 deg, intensity 24, (0 2 2)

Structure:
abc: 8.7668 4.3124 7.1907
angles: 90.00 95.60 90.00
Atoms (fractional coordinates):
Ho 0.0000 0.0000 0.0000
Ho 0.5000 0.5000 0.0000
Er 0.1455 0.5000 0.5572
Er 0.6455 0.0000 0.5572
S 0.1852 0.5000 0.9342
S 0.2152 0.0000 0.3279
S 0.4307 0.0000 0.2308
S 0.4607 0.5000 0.6215
S 0.6852 0.0000 0.9342
S 0.7152 0.5000 0.3279
S 0.9307 0.5000 0.2308
S 0.9607 0.0000 0.6215